Structure and theoretical X-ray powder pattern of Th6Al3Co (the GGA-PBE geometry in Alexandria; copper Kα).
Kinematic intensities with the Lorentz-polarization factor, no thermal factor.

Structural model:
```
data_Th6Al3Co
_symmetry_space_group_name_H-M 'R -3 m'
_symmetry_Int_Tables_number 166
_symmetry_space_group_name_Hall '-R 3 2"'
_cell_length_a 11.3863
_cell_length_b 11.3863
_cell_length_c 14.9425
_cell_angle_alpha 90.00
_cell_angle_beta 90.00
_cell_angle_gamma 120.00
loop_
_atom_site_label
_atom_site_type_symbol
_atom_site_fract_x
_atom_site_fract_y
_atom_site_fract_z
Th1 Th 0.1031 0.2062 0.3889
Th2 Th 0.1102 0.2205 0.1072
Al1 Al 0.0531 0.5265 0.4173
Co1 Co 0.0000 0.0000 0.0000
Co2 Co 0.0000 0.0000 0.5000
```

Principal peaks in the range 10° ≤ 2θ ≤ 90°, by angle:
| d (Å) | 2θ/deg | I_rel | h k l |
| --- | --- | --- | --- |
| 4.682 | 18.95 | 16 | 0 2 1 |
| 3.616 | 24.62 | 20 | 2 1 1 |
| 3.493 | 25.50 | 35 | 1 0 4 |
| 3.287 | 27.13 | 28 | 3 0 0 |
| 2.743 | 32.64 | 100 | 3 0 3 |
| 2.690 | 33.30 | 24 | 1 3 1 |
| 2.638 | 33.98 | 17 | 2 1 4 |
| 1.898 | 47.94 | 29 | 3 3 0 |
| 1.561 | 59.20 | 17 | 0 6 3 |
| 1.205 | 79.52 | 13 | 3 6 3 |